The following is a calculated PXRD pattern of ZnS. It was derived from a structure optimized by DFT (PBE), using Cu Kα X-rays.

Most intense lines, 15 to 90 degrees two-theta, in order of rising 2θ:
h k l, 2θ (°), I (rel.)
1 0 16, 27.9, 19
0 1 17, 28.1, 52
0 0 54, 28.5, 100
0 1 20, 28.6, 23
1 0 25, 29.7, 13
0 1 71, 46.8, 20
1 1 0, 46.9, 84
1 0 73, 47.7, 14
1 1 54, 55.8, 60
3 0 0, 87.1, 19

Atomic structure:
```
data_ZnS
_symmetry_space_group_name_H-M 'R 3 m'
_symmetry_Int_Tables_number 160
_symmetry_space_group_name_Hall 'R 3 -2"'
_cell_length_a 3.8740
_cell_length_b 3.8740
_cell_length_c 169.0356
_cell_angle_alpha 90.00
_cell_angle_beta 90.00
_cell_angle_gamma 120.00
loop_
_atom_site_label
_atom_site_type_symbol
_atom_site_fract_x
_atom_site_fract_y
_atom_site_fract_z
Zn1 Zn 0.0000 0.0000 0.0000
Zn2 Zn 0.0000 0.0000 0.0370
Zn3 Zn 0.0000 0.0000 0.1111
Zn4 Zn 0.0000 0.0000 0.1667
Zn5 Zn 0.0000 0.0000 0.2407
Zn6 Zn 0.0000 0.0000 0.2963
Zn7 Zn 0.0000 0.0000 0.3519
Zn8 Zn 0.0000 0.0000 0.4074
Zn9 Zn 0.0000 0.0000 0.4630
Zn10 Zn 0.0000 0.0000 0.5185
Zn11 Zn 0.0000 0.0000 0.5556
Zn12 Zn 0.0000 0.0000 0.6111
Zn13 Zn 0.0000 0.0000 0.6482
Zn14 Zn 0.0000 0.0000 0.7222
Zn15 Zn 0.0000 0.0000 0.7593
Zn16 Zn 0.0000 0.0000 0.8148
Zn17 Zn 0.0000 0.0000 0.8704
Zn18 Zn 0.0000 0.0000 0.9259
S1 S 0.0000 0.0000 0.0139
S2 S 0.0000 0.0000 0.0509
S3 S 0.0000 0.0000 0.1250
S4 S 0.0000 0.0000 0.1805
S5 S 0.0000 0.0000 0.2546
S6 S 0.0000 0.0000 0.3102
S7 S 0.0000 0.0000 0.3657
S8 S 0.0000 0.0000 0.4213
S9 S 0.0000 0.0000 0.4768
S10 S 0.0000 0.0000 0.5324
S11 S 0.0000 0.0000 0.5694
S12 S 0.0000 0.0000 0.6250
S13 S 0.0000 0.0000 0.6620
S14 S 0.0000 0.0000 0.7361
S15 S 0.0000 0.0000 0.7731
S16 S 0.0000 0.0000 0.8287
S17 S 0.0000 0.0000 0.8843
S18 S 0.0000 0.0000 0.9398
```